AlCd11Hg17: computed PXRD pattern (Cu Ka), based on DFT lattice parameters and positions (PBE).

Largest 10 diffraction maxima, sorted by position, 2θ from 5° to 70°:
two_theta	Rel. int.	hkl
30.6	66	2 2 -2
31.4	78	1 3 -2
32.0	100	1 -2 3
32.2	64	0 0 3
32.9	35	2 -1 2
33.4	81	-1 2 2
35.8	52	2 1 1
36.5	40	3 -3 0
37.0	35	2 1 -4
37.7	45	2 -4 1

Cell and atoms:
Lattice parameters (Å, degrees): 8.8763 10.1131 10.1748 114.95 106.12 103.38
Space group P1 (No. 1)
Unique sites:
Al 0.0000 0.0000 0.0000 (multiplicity 1)
Cd 0.0158 0.4830 0.5127 (multiplicity 1)
Cd 0.1303 0.0168 0.7609 (multiplicity 1)
Cd 0.2499 0.2818 0.5424 (multiplicity 1)
Cd 0.4246 0.6130 0.3302 (multiplicity 1)
Cd 0.4345 0.8069 0.1287 (multiplicity 1)
Cd 0.6158 0.5900 0.1131 (multiplicity 1)
Cd 0.6506 0.2072 0.3500 (multiplicity 1)
Cd 0.6729 0.8364 0.7118 (multiplicity 1)
Cd 0.8780 0.4071 0.7274 (multiplicity 1)
Cd 0.8826 0.1941 0.8728 (multiplicity 1)
Cd 0.9975 0.8462 0.3035 (multiplicity 1)
Hg 0.0921 0.5849 0.1012 (multiplicity 1)
Hg 0.1120 0.7595 0.8574 (multiplicity 1)
Hg 0.1227 0.3232 0.2493 (multiplicity 1)
Hg 0.2406 0.7802 0.5200 (multiplicity 1)
Hg 0.2426 0.3802 0.8771 (multiplicity 1)
Hg 0.2742 0.0332 0.2624 (multiplicity 1)
Hg 0.3924 0.6464 0.7761 (multiplicity 1)
Hg 0.4012 0.2690 0.1210 (multiplicity 1)
Hg 0.4978 0.0242 0.8930 (multiplicity 1)
Hg 0.5494 0.2813 0.7780 (multiplicity 1)
Hg 0.5564 0.9856 0.5045 (multiplicity 1)
Hg 0.5694 0.4742 0.5408 (multiplicity 1)
Hg 0.7795 0.0034 0.1505 (multiplicity 1)
Hg 0.7853 0.6748 0.9261 (multiplicity 1)
Hg 0.7963 0.3880 0.1619 (multiplicity 1)
Hg 0.8282 0.7042 0.4750 (multiplicity 1)
Hg 0.9188 0.0972 0.5250 (multiplicity 1)


AlCdHg2: computed PXRD pattern (Cu Ka), based on DFT lattice parameters and positions (PBE).

Largest 10 diffraction maxima, sorted by position, 2θ from 5° to 70°:
two_theta	Rel. int.	hkl
20.2	23	0 0 6
30.9	27	0 1 2
33.1	100	1 0 4
40.9	54	0 1 8
41.1	17	0 0 12
53.4	26	1 1 0
64.3	15	0 2 4
64.7	12	1 0 16
69.4	11	2 0 8
69.6	21	1 1 12

Cell and atoms:
Lattice parameters (Å, degrees): 3.4296 3.4296 26.3376 90.00 90.00 120.00
Space group R-3m (No. 166, hexagonal axes)
Unique sites:
Al 0.0000 0.0000 0.0000 (multiplicity 3)
Cd 0.0000 0.0000 0.5000 (multiplicity 3)
Hg 0.0000 0.0000 0.2552 (multiplicity 6)


AlCd2Hg4: computed PXRD pattern (Cu Ka), based on DFT lattice parameters and positions (PBE).

Largest 10 diffraction maxima, sorted by position, 2θ from 5° to 70°:
two_theta	Rel. int.	hkl
24.9	13	1 0 3
26.6	100	1 1 2
33.5	79	2 0 0
34.3	45	1 1 4
35.3	45	1 0 5
48.1	29	2 2 0
49.4	35	2 1 5
51.0	16	2 0 6
55.8	27	3 1 2
60.4	17	3 1 4

Cell and atoms:
Lattice parameters (Å, degrees): 5.3543 5.3543 14.4575 90.00 90.00 90.00
Space group I4/mmm (No. 139)
Unique sites:
Al 0.0000 0.0000 0.0000 (multiplicity 2)
Cd 0.0000 0.0000 0.3852 (multiplicity 4)
Hg 0.0000 0.0000 0.1888 (multiplicity 4)
Hg 0.0000 0.5000 0.0000 (multiplicity 4)


AlCd2InHg8: computed PXRD pattern (Cu Ka), based on DFT lattice parameters and positions (PBE).

Largest 10 diffraction maxima, sorted by position, 2θ from 5° to 70°:
two_theta	Rel. int.	hkl
31.6	31	0 0 3
33.3	100	2 0 1
34.6	49	1 1 2
35.5	40	0 1 3
38.2	15	0 2 2
53.1	15	3 0 2
53.7	17	1 2 3
54.0	13	0 2 4
56.2	27	2 2 0
64.0	15	2 0 5

Cell and atoms:
Lattice parameters (Å, degrees): 6.5446 6.5446 8.4792 90.00 90.00 120.00
Space group P-3m1 (No. 164)
Unique sites:
Al 0.0000 0.0000 0.0000 (multiplicity 1)
Cd 0.3333 0.6667 0.9063 (multiplicity 2)
In 0.0000 0.0000 0.5000 (multiplicity 1)
Hg 0.1766 0.3532 0.2264 (multiplicity 6)
Hg 0.3333 0.6667 0.5545 (multiplicity 2)


Ho3AlCd3: computed PXRD pattern (Cu Ka), based on DFT lattice parameters and positions (PBE).

Largest 10 diffraction maxima, sorted by position, 2θ from 5° to 70°:
two_theta	Rel. int.	hkl
22.7	15	0 1 3
32.6	100	1 1 2
33.5	54	1 0 5
36.1	89	0 1 7
37.5	39	0 2 0
51.1	32	1 2 5
51.6	15	2 0 0
64.5	39	2 1 7
65.5	15	2 2 0
66.7	14	0 3 7

Cell and atoms:
Lattice parameters (Å, degrees): 3.5453 4.7965 20.4078 90.00 90.00 90.00
Space group Imm2 (No. 44)
Unique sites:
Ho 0.0000 0.0000 0.0000 (multiplicity 2)
Ho 0.0000 0.0000 0.3976 (multiplicity 2)
Ho 0.0000 0.5000 0.2046 (multiplicity 2)
Al 0.0000 0.5000 0.7684 (multiplicity 2)
Cd 0.0000 0.0000 0.5570 (multiplicity 2)
Cd 0.0000 0.0000 0.8419 (multiplicity 2)
Cd 0.0000 0.5000 0.6351 (multiplicity 2)


AlCdPt2IN: computed PXRD pattern (Cu Ka), based on DFT lattice parameters and positions (PBE).

Largest 10 diffraction maxima, sorted by position, 2θ from 5° to 70°:
two_theta	Rel. int.	hkl
9.4	35	0 0 1
25.5	53	2 0 0
26.5	100	1 1 0
28.6	23	0 0 3
37.7	38	2 0 -3
38.9	40	1 1 -3
39.9	49	1 1 3
45.6	49	3 1 0
47.5	23	0 2 0
62.1	23	2 2 -3

Cell and atoms:
Lattice parameters (Å, degrees): 6.9977 3.8309 9.3714 90.00 92.84 90.00
Space group Cm (No. 8)
Unique sites:
Al 0.0000 0.0000 0.0000 (multiplicity 2)
Cd 0.1333 0.5000 0.7003 (multiplicity 2)
Pt 0.3181 0.0000 0.1685 (multiplicity 2)
Pt 0.3221 0.0000 0.8781 (multiplicity 2)
I 0.2980 0.0000 0.4796 (multiplicity 2)
N 0.3361 0.5000 0.1716 (multiplicity 2)


AlCdPt2IN: computed PXRD pattern (Cu Ka), based on DFT lattice parameters and positions (PBE).

Largest 10 diffraction maxima, sorted by position, 2θ from 5° to 70°:
two_theta	Rel. int.	hkl
11.2	100	0 0 1
24.7	43	1 1 0
26.3	41	1 0 1
30.5	35	0 1 2
35.5	32	1 1 -2
39.7	27	1 -1 0
40.3	23	1 1 3
40.7	28	1 2 0
42.5	24	0 1 -3
45.0	28	2 1 1

Cell and atoms:
Lattice parameters (Å, degrees): 4.0903 4.4997 7.9319 84.03 85.38 64.07
Space group P1 (No. 1)
Unique sites:
Al 0.0000 0.0000 0.0000 (multiplicity 1)
Cd 0.5945 0.6382 0.3384 (multiplicity 1)
Pt 0.3559 0.2373 0.1551 (multiplicity 1)
Pt 0.6709 0.6516 0.9858 (multiplicity 1)
I 0.1957 0.3057 0.5601 (multiplicity 1)
N 0.8298 0.3337 0.8173 (multiplicity 1)


Al2CdIn2: computed PXRD pattern (Cu Ka), based on DFT lattice parameters and positions (PBE).

Largest 10 diffraction maxima, sorted by position, 2θ from 5° to 70°:
two_theta	Rel. int.	hkl
11.3	46	0 0 2
28.5	70	1 0 3
32.3	51	1 1 0
34.3	55	1 1 2
36.7	100	1 0 5
46.4	34	2 0 0
55.3	21	2 1 3
60.5	44	2 1 5
67.6	22	2 2 0
68.7	19	1 1 10

Cell and atoms:
Lattice parameters (Å, degrees): 3.9167 3.9167 15.7033 90.00 90.00 90.00
Space group I4/mmm (No. 139)
Unique sites:
Al 0.0000 0.5000 0.2500 (multiplicity 4)
Cd 0.0000 0.0000 0.0000 (multiplicity 2)
In 0.0000 0.0000 0.3953 (multiplicity 4)